No. 1
For Rb2SrMoRu, a crystal structure in Alexandria, relaxed with GGA-PBE gives the theoretical powder diffraction line list in this record (CuKα).

Largest 10 diffraction maxima, in order of falling intensity, 5 to 70 degrees two-theta:
2θ (°)	d_spacing	I_rel	h k l
26.66	3.343	100	2 0 0
26.78	3.329	61	1 1 1
47.37	1.919	40	2 0 2
38.07	2.364	38	2 2 0
13.24	6.686	32	1 0 0
55.18	1.664	25	2 2 2
47.15	1.927	25	3 1 1
62.09	1.495	23	4 2 0
38.40	2.344	19	0 0 2
18.77	4.728	15	1 1 0

Crystal structure
Cell: 6.6863 6.6863 4.6881 Å, 90.00 90.00 90.00°
Space group P4/mmm (No. 123)
One atom of each set of equivalent atoms:
Rb  0.0000  0.5000  0.0000 (multiplicity 2)
Sr  0.0000  0.0000  0.5000 (multiplicity 1)
Mo  0.5000  0.5000  0.5000 (multiplicity 1)
Ru  0.5000  0.5000  0.0000 (multiplicity 1)

No. 2
For Pa2ZnGe3Pt6, a crystal structure in Alexandria, relaxed with GGA-PBE gives the theoretical powder diffraction line list in this record (CuKα).

Largest 10 diffraction maxima, in order of falling intensity, 5 to 70 degrees two-theta:
2θ (°)	d_spacing	I_rel	h k l
5.69	15.537	100	0 0 1
31.79	2.815	51	1 1 1
44.78	2.024	48	2 0 0
33.37	2.685	31	1 1 2
39.10	2.304	28	1 1 4
35.85	2.505	27	1 1 3
31.93	2.802	26	1 0 4
46.67	1.946	25	1 0 7
28.73	3.107	22	0 0 5
47.34	1.920	20	1 1 6

Crystal structure
Cell: 4.0474 4.0474 15.5368 Å, 90.00 90.00 90.00°
Space group P4/mmm (No. 123)
One atom of each set of equivalent atoms:
Pa  0.0000  0.0000  0.2206 (multiplicity 2)
Zn  0.0000  0.0000  0.5000 (multiplicity 1)
Ge  0.5000  0.5000  0.0000 (multiplicity 1)
Ge  0.5000  0.5000  0.3088 (multiplicity 2)
Pt  0.0000  0.5000  0.3974 (multiplicity 4)
Pt  0.5000  0.5000  0.1510 (multiplicity 2)

No. 3
For NpInNiRu, a crystal structure in Alexandria, relaxed with GGA-PBE gives the theoretical powder diffraction line list in this record (CuKα).

Largest 8 diffraction maxima, in order of falling intensity, 5 to 70 degrees two-theta:
2θ (°)	d_spacing	I_rel	h k l
38.69	2.327	100	2 2 0
55.87	1.646	17	4 0 0
27.09	3.291	15	2 0 0
23.41	3.800	13	1 1 1
45.71	1.985	7	3 1 1
63.17	1.472	6	4 2 0
47.87	1.900	5	2 2 2
61.39	1.510	3	3 3 1

Crystal structure
Cell: 6.5826 6.5826 6.5826 Å, 90.00 90.00 90.00°
Space group F-43m (No. 216)
One atom of each set of equivalent atoms:
Np  0.0000  0.0000  0.0000 (multiplicity 4)
In  0.0000  0.0000  0.5000 (multiplicity 4)
Ni  0.2500  0.2500  0.2500 (multiplicity 4)
Ru  0.2500  0.2500  0.7500 (multiplicity 4)

No. 4
For CdMo2Ru, a crystal structure in Alexandria, relaxed with GGA-PBE gives the theoretical powder diffraction line list in this record (CuKα).

Largest 10 diffraction maxima, in order of falling intensity, 5 to 70 degrees two-theta:
2θ (°)	d_spacing	I_rel	h k l
38.91	2.314	100	1 1 1
44.50	2.036	69	3 1 -1
38.05	2.365	54	2 0 -2
38.68	2.328	49	4 0 0
45.75	1.983	28	2 0 2
65.30	1.429	19	1 1 -3
66.16	1.413	17	5 1 1
64.00	1.455	11	6 0 -2
65.50	1.425	11	0 2 0
29.30	3.049	5	2 0 1

Crystal structure
Cell: 9.5296 2.8500 4.9584 Å, 90.00 102.28 90.00°
Space group Cm (No. 8)
One atom of each set of equivalent atoms:
Cd  0.0000  0.0000  0.0000 (multiplicity 2)
Mo  0.2344  0.0000  0.7200 (multiplicity 2)
Mo  0.4878  0.0000  0.4908 (multiplicity 2)
Ru  0.2599  0.5000  0.2750 (multiplicity 2)